# Ho3CrO7
Theoretical powder X-ray diffraction pattern, λ = 1.5418 Å (Cu Kα). Input: a crystal structure in Alexandria, relaxed with PBE+U.
Intensities are scaled so that the largest is 100.

Top 6 peaks for 2θ from 10° to 90°, in order of rising 2θ:
two_theta, I (rel.)
29.49, 97
30.10, 100
34.42, 43
34.78, 20
49.74, 49
59.36, 25

Structural model:
```
data_Ho3CrO7
_cell_length_a 6.373
_cell_length_b 6.373
_cell_length_c 7.261
_cell_angle_alpha 90.00
_cell_angle_beta 90.00
_cell_angle_gamma 108.10
_space_group_name_H-M_alt 'P 1'
_space_group_IT_number 1
loop_
_space_group_symop_operation_xyz
'x,y,z'
loop_
_atom_site_label
_atom_site_type_symbol
_atom_site_fract_x
_atom_site_fract_y
_atom_site_fract_z
Ho1 Ho 0.041 0.498 0.260
Ho2 Ho 0.048 0.048 0.000
Ho3 Ho 0.498 0.041 0.740
Ho4 Ho 0.502 0.959 0.240
Ho5 Ho 0.952 0.952 0.500
Ho6 Ho 0.959 0.502 0.760
Cr1 Cr 0.494 0.494 0.500
Cr2 Cr 0.506 0.506 0.000
O1 O 0.130 0.870 0.750
O2 O 0.139 0.861 0.250
O3 O 0.180 0.424 0.977
O4 O 0.206 0.457 0.543
O5 O 0.424 0.180 0.023
O6 O 0.437 0.563 0.250
O7 O 0.457 0.206 0.457
O8 O 0.543 0.794 0.957
O9 O 0.563 0.437 0.750
O10 O 0.576 0.820 0.523
O11 O 0.794 0.543 0.043
O12 O 0.820 0.576 0.477
O13 O 0.861 0.139 0.750
O14 O 0.870 0.130 0.250
```